No. 1
Zr3Cu2As4Pd2: computed powder X-ray diffraction pattern (Cu Kα X-rays), based on a crystal structure in OQMD, relaxed with GGA-PBE.
Lines closer than 0.1° are merged.

Most intense lines, 2θ from 5° to 70°, sorted by position:
| Position (°2θ) | d (Å) | I/Imax | index |
| --- | --- | --- | --- |
| 11.6 | 7.661 | 39 | 0 0 1 |
| 35.4 | 2.535 | 86 | 1 1 -2 |
| 35.6 | 2.523 | 100 | 2 1 0 |
| 37.5 | 2.401 | 51 | 2 1 -1 |
| 37.6 | 2.391 | 98 | 2 1 1 |
| 37.9 | 2.374 | 33 | 1 0 3 |
| 42.2 | 2.139 | 85 | 0 1 3 |
| 44.7 | 2.029 | 37 | 2 0 -3 |
| 46.4 | 1.958 | 74 | 0 2 0 |
| 47.5 | 1.915 | 36 | 3 0 -2 |

Atomic structure:
a b c (Å): 6.595 3.917 7.661
angles (deg): 90.00 90.52 90.00
Space group Pm (No. 6)
Unique sites:
Zr: 0.000 0.000 0.000
Zr: 0.073 0.500 0.358
Zr: 0.504 0.000 0.864
Cu: 0.166 0.500 0.733
Cu: 0.907 0.000 0.616
As: 0.293 0.000 0.565
As: 0.294 0.500 0.043
As: 0.778 0.000 0.318
As: 0.790 0.500 0.786
Pd: 0.390 0.000 0.251
Pd: 0.691 0.500 0.122

No. 2
RbCu2AsS3: computed powder X-ray diffraction pattern (Cu Kα X-rays), based on a crystal structure in OQMD, relaxed with GGA-PBE.
Lines closer than 0.1° are merged.

Most intense lines, 2θ from 5° to 70°, sorted by position:
| Position (°2θ) | d (Å) | I/Imax | index |
| --- | --- | --- | --- |
| 9.8 | 9.065 | 95 | 1 0 0 |
| 25.6 | 3.483 | 56 | 1 0 2 |
| 26.6 | 3.354 | 37 | 2 1 -2 |
| 27.3 | 3.264 | 36 | 2 1 1 |
| 28.0 | 3.190 | 27 | 1 1 2 |
| 30.5 | 2.933 | 63 | 3 1 -1 |
| 30.9 | 2.896 | 100 | 0 2 2 |
| 33.8 | 2.653 | 56 | 2 1 -3 |
| 39.7 | 2.272 | 29 | 2 3 0 |
| 49.2 | 1.854 | 36 | 4 0 -4 |

Atomic structure:
a b c (Å): 9.495 7.879 8.947
angles (deg): 90.00 107.31 90.00
Space group P2_1/c (No. 14)
Unique sites:
Rb: 0.088 0.062 0.242
Cu: 0.320 0.516 0.218
Cu: 0.443 0.245 0.568
As: 0.355 0.654 0.547
S: 0.158 0.697 0.062
S: 0.254 0.100 0.926
S: 0.450 0.523 0.792

No. 3
Cu6As4S9: computed powder X-ray diffraction pattern (Cu Kα X-rays), based on a crystal structure in OQMD, relaxed with GGA-PBE.
Lines closer than 0.1° are merged.

Most intense lines, 2θ from 5° to 70°, sorted by position:
| Position (°2θ) | d (Å) | I/Imax | index |
| --- | --- | --- | --- |
| 29.3 | 3.050 | 100 | 1 1 2 |
| 29.4 | 3.039 | 96 | 3 -1 0 |
| 33.9 | 2.643 | 11 | -2 2 2 |
| 34.1 | 2.633 | 18 | 2 -2 3 |
| 48.7 | 1.869 | 36 | 0 4 1 |
| 48.9 | 1.863 | 52 | 0 4 -4 |
| 49.0 | 1.860 | 18 | 4 -4 1 |
| 58.0 | 1.590 | 29 | -3 5 1 |
| 58.1 | 1.588 | 17 | 1 5 -2 |
| 58.2 | 1.586 | 12 | 3 -5 4 |

Atomic structure:
a b c (Å): 9.113 9.120 9.881
angles (deg): 107.67 90.16 109.41
Space group P1 (No. 1)
Unique sites:
Cu: 0.000 0.000 0.000
Cu: 0.027 0.129 0.412
Cu: 0.119 0.443 0.205
Cu: 0.169 0.574 0.600
Cu: 0.232 0.722 0.992
Cu: 0.265 0.885 0.411
Cu: 0.393 0.197 0.198
Cu: 0.572 0.772 0.793
Cu: 0.644 0.926 0.216
Cu: 0.670 0.078 0.605
Cu: 0.717 0.239 0.003
Cu: 0.821 0.535 0.794
As: 0.105 0.295 0.821
As: 0.334 0.067 0.818
As: 0.416 0.321 0.605
As: 0.470 0.482 0.986
As: 0.561 0.646 0.395
As: 0.780 0.400 0.383
As: 0.883 0.702 0.228
As: 0.913 0.820 0.599
S: 0.019 0.374 0.399
S: 0.068 0.522 0.801
S: 0.128 0.696 0.200
S: 0.179 0.834 0.615
S: 0.243 0.982 0.004
S: 0.284 0.139 0.397
S: 0.373 0.444 0.207
S: 0.422 0.579 0.589
S: 0.488 0.739 0.005
S: 0.516 0.876 0.405
S: 0.569 0.028 0.806
S: 0.636 0.173 0.205
S: 0.679 0.328 0.592
S: 0.732 0.494 0.002
S: 0.833 0.794 0.807
S: 0.896 0.942 0.198
S: 0.925 0.088 0.614
S: 0.971 0.240 0.002

No. 4
Cu3AsS3: computed powder X-ray diffraction pattern (Cu Kα X-rays), based on a crystal structure in OQMD, relaxed with GGA-PBE.
Lines closer than 0.1° are merged.

Most intense lines, 2θ from 5° to 70°, sorted by position:
| Position (°2θ) | d (Å) | I/Imax | index |
| --- | --- | --- | --- |
| 21.8 | 4.070 | 11 | 2 1 1 |
| 31.1 | 2.878 | 100 | 2 2 2 |
| 36.0 | 2.492 | 16 | 4 0 0 |
| 38.3 | 2.350 | 13 | 3 3 0 |
| 42.5 | 2.125 | 8 | 3 3 2 |
| 46.4 | 1.955 | 20 | 4 3 1 |
| 50.1 | 1.820 | 11 | 5 2 1 |
| 51.9 | 1.762 | 37 | 4 4 0 |
| 56.9 | 1.617 | 12 | 6 1 1 |
| 61.7 | 1.503 | 22 | 6 2 2 |

Atomic structure:
a b c (Å): 9.969 9.969 9.969
angles (deg): 90.00 90.00 90.00
Space group I-43m (No. 217)
Unique sites:
Cu: 0.000 0.000 0.181
Cu: 0.000 0.250 0.500
As: 0.238 0.238 0.238
S: 0.114 0.114 0.648

No. 5
Cu3AsSe2S2: computed powder X-ray diffraction pattern (Cu Kα X-rays), based on a crystal structure in OQMD, relaxed with GGA-PBE.
Lines closer than 0.1° are merged.

Most intense lines, 2θ from 5° to 70°, sorted by position:
| Position (°2θ) | d (Å) | I/Imax | index |
| --- | --- | --- | --- |
| 28.3 | 3.156 | 99 | 0 2 2 |
| 28.4 | 3.137 | 100 | 2 0 2 |
| 36.9 | 2.439 | 13 | 2 2 2 |
| 46.9 | 1.939 | 24 | 0 4 0 |
| 47.2 | 1.926 | 89 | 2 2 4 |
| 47.3 | 1.921 | 23 | 4 0 0 |
| 55.7 | 1.649 | 28 | 2 4 2 |
| 56.0 | 1.641 | 40 | 4 2 2 |
| 56.1 | 1.638 | 12 | 2 0 6 |
| 68.8 | 1.365 | 14 | 4 4 0 |

Atomic structure:
a b c (Å): 7.685 7.755 10.867
angles (deg): 90.00 90.00 90.00
Space group Fmm2 (No. 42)
Unique sites:
Cu: 0.000 0.000 0.000
Cu: 0.250 0.250 0.273
As: 0.000 0.000 0.506
Se: 0.000 0.245 0.139
S: 0.248 0.000 0.882

No. 6
Cu3AsSeS3: computed powder X-ray diffraction pattern (Cu Kα X-rays), based on a crystal structure in OQMD, relaxed with GGA-PBE.
Lines closer than 0.1° are merged.

Most intense lines, 2θ from 5° to 70°, sorted by position:
| Position (°2θ) | d (Å) | I/Imax | index |
| --- | --- | --- | --- |
| 28.8 | 3.102 | 100 | 2 0 0 |
| 28.9 | 3.092 | 99 | 0 2 1 |
| 33.3 | 2.687 | 6 | 2 2 -1 |
| 47.7 | 1.905 | 22 | 4 0 -2 |
| 48.0 | 1.896 | 64 | 2 2 1 |
| 48.1 | 1.893 | 43 | 2 2 -3 |
| 56.8 | 1.622 | 26 | 4 2 -1 |
| 56.9 | 1.618 | 26 | 2 4 0 |
| 57.0 | 1.616 | 7 | 2 0 2 |
| 57.1 | 1.612 | 19 | 2 0 -4 |

Atomic structure:
a b c (Å): 7.619 7.583 6.555
angles (deg): 90.00 125.37 90.00
Space group Cm (No. 8)
Unique sites:
Cu: 0.000 0.000 0.000
Cu: 0.000 0.262 0.477
As: 0.017 0.500 0.995
Se: 0.125 0.000 0.732
S: 0.133 0.500 0.737
S: 0.134 0.250 0.246

No. 7
Cu2SbAs: computed powder X-ray diffraction pattern (Cu Kα X-rays), based on a crystal structure in OQMD, relaxed with GGA-PBE.
Lines closer than 0.1° are merged.

Most intense lines, 2θ from 5° to 70°, sorted by position:
| Position (°2θ) | d (Å) | I/Imax | index |
| --- | --- | --- | --- |
| 23.6 | 3.768 | 1 | 1 1 1 |
| 27.3 | 3.263 | 5 | 2 0 0 |
| 30.6 | 2.919 | 7 | 2 1 0 |
| 39.0 | 2.307 | 100 | 2 2 0 |
| 41.5 | 2.175 | 3 | 3 0 0 |
| 48.3 | 1.884 | 2 | 2 2 2 |
| 50.4 | 1.810 | 1 | 3 2 0 |
| 56.4 | 1.632 | 15 | 4 0 0 |
| 58.3 | 1.583 | 3 | 3 2 2 |
| 63.8 | 1.459 | 4 | 4 2 0 |

Atomic structure:
a b c (Å): 6.526 6.526 6.526
angles (deg): 90.00 90.00 90.00
Space group Pm-3m (No. 221)
Unique sites:
Cu: 0.225 0.225 0.225
Sb: 0.000 0.500 0.500
Sb: 0.500 0.500 0.500
As: 0.000 0.000 0.000
As: 0.000 0.000 0.500

No. 8
ScZnCu4As2: computed powder X-ray diffraction pattern (Cu Kα X-rays), based on a crystal structure in OQMD, relaxed with GGA-PBE.
Lines closer than 0.1° are merged.

Most intense lines, 2θ from 5° to 70°, sorted by position:
| Position (°2θ) | d (Å) | I/Imax | index |
| --- | --- | --- | --- |
| 12.6 | 7.051 | 7 | 0 0 1 |
| 25.3 | 3.519 | 2 | 1 0 1 |
| 38.3 | 2.350 | 1 | 0 0 3 |
| 40.5 | 2.226 | 100 | 1 1 2 |
| 44.6 | 2.030 | 40 | 2 0 0 |
| 46.5 | 1.951 | 1 | 2 0 1 |
| 50.2 | 1.819 | 4 | 1 1 3 |
| 51.9 | 1.763 | 10 | 0 0 4 |
| 65.0 | 1.436 | 12 | 2 2 0 |
| 66.3 | 1.410 | 1 | 0 0 5 |

Atomic structure:
a b c (Å): 4.061 4.061 7.051
angles (deg): 90.00 90.00 90.00
Space group P4/mmm (No. 123)
Unique sites:
Sc: 0.000 0.000 0.000
Zn: 0.500 0.500 0.500
Cu: 0.000 0.500 0.274
As: 0.000 0.000 0.500
As: 0.500 0.500 0.000

No. 9
Cu7As6Se13: computed powder X-ray diffraction pattern (Cu Kα X-rays), based on a crystal structure in OQMD, relaxed with GGA-PBE.
Lines closer than 0.1° are merged.

Most intense lines, 2θ from 5° to 70°, sorted by position:
| Position (°2θ) | d (Å) | I/Imax | index |
| --- | --- | --- | --- |
| 23.8 | 3.738 | 37 | 0 0 3 |
| 27.2 | 3.282 | 6 | 1 1 3 |
| 28.2 | 3.160 | 100 | 1 3 1 |
| 42.3 | 2.135 | 44 | 1 3 4 |
| 46.5 | 1.954 | 4 | 3 2 4 |
| 47.8 | 1.901 | 34 | 5 2 0 |
| 49.1 | 1.854 | 15 | 4 -1 5 |
| 54.1 | 1.695 | 17 | 5 2 3 |
| 56.5 | 1.629 | 12 | 8 -2 1 |
| 65.8 | 1.420 | 7 | 8 -2 4 |

Atomic structure:
a b c (Å): 13.7102 13.7102 11.2149
angles (deg): 90.00 90.00 120.00
Space group R3 (No. 146, hexagonal axes)
Unique sites:
Cu: 0.0000 0.0000 0.0000
Cu: 0.0556 0.8883 0.3320
Cu: 0.1704 0.0305 0.6556
As: 0.0564 0.4640 0.6893
As: 0.1169 0.7708 0.6540
Se: 0.0000 0.0000 0.2166
Se: 0.0311 0.4173 0.9515
Se: 0.0309 0.8658 0.5510
Se: 0.0917 0.7313 0.9291
Se: 0.1682 0.0496 0.8723

No. 10
Sm3Cu4As4: computed powder X-ray diffraction pattern (Cu Kα X-rays), based on a crystal structure in OQMD, relaxed with GGA-PBE.
Lines closer than 0.1° are merged.

Most intense lines, 2θ from 5° to 70°, sorted by position:
| Position (°2θ) | d (Å) | I/Imax | index |
| --- | --- | --- | --- |
| 25.6 | 3.485 | 10 | 0 1 1 |
| 27.7 | 3.220 | 18 | 0 1 2 |
| 31.0 | 2.887 | 86 | 0 1 3 |
| 35.1 | 2.557 | 100 | 0 1 4 |
| 43.5 | 2.082 | 21 | 0 0 7 |
| 43.7 | 2.072 | 90 | 1 1 0 |
| 50.7 | 1.801 | 10 | 1 0 7 |
| 54.5 | 1.683 | 17 | 2 0 3 |
| 57.2 | 1.610 | 24 | 2 0 4 |
| 63.3 | 1.469 | 41 | 1 1 7 |

Atomic structure:
a b c (Å): 4.1442 4.1442 14.5740
angles (deg): 90.00 90.00 120.00
Space group P-3m1 (No. 164)
Unique sites:
Sm: 0.0000 0.0000 0.0000
Sm: 0.0000 0.0000 0.2837
Cu: 0.3333 0.6667 0.1371
Cu: 0.3333 0.6667 0.5652
As: 0.3333 0.6667 0.3930
As: 0.3333 0.6667 0.8619

No. 11
TbTmCu2As4: computed powder X-ray diffraction pattern (Cu Kα X-rays), based on a crystal structure in OQMD, relaxed with GGA-PBE.
Lines closer than 0.1° are merged.

Most intense lines, 2θ from 5° to 70°, sorted by position:
| Position (°2θ) | d (Å) | I/Imax | index |
| --- | --- | --- | --- |
| 24.6 | 3.623 | 23 | 1 0 1 |
| 29.3 | 3.052 | 16 | 1 0 2 |
| 35.9 | 2.504 | 26 | 1 0 3 |
| 36.7 | 2.450 | 15 | 0 0 4 |
| 37.4 | 2.403 | 100 | 1 1 2 |
| 46.6 | 1.950 | 34 | 2 0 0 |
| 52.2 | 1.752 | 16 | 1 0 5 |
| 60.1 | 1.539 | 12 | 2 1 3 |
| 60.7 | 1.526 | 13 | 2 0 4 |
| 68.0 | 1.379 | 11 | 2 2 0 |

Atomic structure:
a b c (Å): 3.900 3.900 9.802
angles (deg): 90.00 90.00 90.00
Space group P4mm (No. 99)
Unique sites:
Tb: 0.000 0.000 0.000
Tm: 0.500 0.500 0.527
Cu: 0.000 0.500 0.265
As: 0.000 0.000 0.427
As: 0.000 0.500 0.761
As: 0.500 0.500 0.104

No. 12
CuAs3W: computed powder X-ray diffraction pattern (Cu Kα X-rays), based on a crystal structure in OQMD, relaxed with GGA-PBE.
Lines closer than 0.1° are merged.

Most intense lines, 2θ from 5° to 70°, sorted by position:
| Position (°2θ) | d (Å) | I/Imax | index |
| --- | --- | --- | --- |
| 11.0 | 8.028 | 57 | 0 0 1 |
| 15.9 | 5.583 | 59 | 2 0 0 |
| 27.9 | 3.194 | 31 | 1 1 -1 |
| 33.5 | 2.676 | 44 | 0 0 3 |
| 33.6 | 2.667 | 56 | 3 1 -1 |
| 35.3 | 2.542 | 100 | 3 1 -2 |
| 40.4 | 2.234 | 48 | 1 1 -3 |
| 44.4 | 2.042 | 73 | 5 1 -2 |
| 48.5 | 1.876 | 79 | 3 1 2 |
| 53.5 | 1.712 | 34 | 0 2 0 |

Atomic structure:
a b c (Å): 12.755 3.424 9.171
angles (deg): 90.00 118.91 90.00
Space group C2/m (No. 12)
Unique sites:
Cu: 0.133 0.000 0.358
As: 0.092 0.000 0.824
As: 0.099 0.500 0.136
As: 0.126 0.500 0.545
W: 0.249 0.000 0.135